# 1
The following is a theoretical powder diffraction line list of Tb12Dy7Tl. It was derived from DFT lattice parameters and positions (PBE), using Cu Kα (weighted mean of Kα1 and Kα2).
Kinematic intensities with the Lorentz-polarization factor, no thermal factor.

Peak list (12 most intense, 10° ≤ 2θ ≤ 90°, by angle)
d (Å), Position (°2θ), I (rel.)
2.978, 30.01, 34
2.877, 31.09, 46
2.830, 31.62, 100
2.760, 32.43, 55
2.699, 33.20, 64
2.667, 33.61, 26
2.378, 37.83, 15
1.741, 52.56, 20
1.705, 53.77, 19
1.666, 55.13, 14
1.661, 55.31, 21
1.582, 58.33, 15

Cell and atoms:
```
data_Tb12Dy7Tl
_chemical_formula_sum 'Tb12 Dy7 Tl1'
_cell_length_a 8.642
_cell_length_b 8.642
_cell_length_c 8.642
_cell_angle_alpha 87.75
_cell_angle_beta 87.75
_cell_angle_gamma 87.75
_symmetry_space_group_name_H-M 'P 1'
_symmetry_Int_Tables_number 1
loop_
_symmetry_equiv_pos_as_xyz
'x,y,z'
loop_
_atom_site_label
_atom_site_type_symbol
_atom_site_fract_x
_atom_site_fract_y
_atom_site_fract_z
_atom_site_occupancy
Tb1 Tb 0.000 0.360 0.885 1
Tb2 Tb 0.000 0.640 0.115 1
Tb3 Tb 0.115 0.000 0.640 1
Tb4 Tb 0.242 0.753 0.364 1
Tb5 Tb 0.247 0.636 0.758 1
Tb6 Tb 0.360 0.885 0.000 1
Tb7 Tb 0.364 0.242 0.753 1
Tb8 Tb 0.636 0.758 0.247 1
Tb9 Tb 0.640 0.115 0.000 1
Tb10 Tb 0.753 0.364 0.242 1
Tb11 Tb 0.758 0.247 0.636 1
Tb12 Tb 0.885 0.000 0.360 1
Dy1 Dy 0.000 0.000 0.000 1
Dy2 Dy 0.110 0.353 0.431 1
Dy3 Dy 0.353 0.431 0.110 1
Dy4 Dy 0.431 0.110 0.353 1
Dy5 Dy 0.569 0.890 0.647 1
Dy6 Dy 0.647 0.569 0.890 1
Dy7 Dy 0.890 0.647 0.569 1
Tl1 Tl 0.500 0.500 0.500 1
```

***

# 2
The following is a theoretical powder diffraction line list of TbDy5Tl3. It was derived from DFT lattice parameters and positions (PBE), using Cu Kα (weighted mean of Kα1 and Kα2).
Kinematic intensities with the Lorentz-polarization factor, no thermal factor.

Peak list (12 most intense, 10° ≤ 2θ ≤ 90°, by angle)
d (Å), Position (°2θ), I (rel.)
3.362, 26.51, 9
2.732, 32.77, 88
2.707, 33.09, 100
2.109, 42.89, 15
1.923, 47.26, 32
1.681, 54.59, 8
1.568, 58.91, 33
1.563, 59.11, 19
1.428, 65.34, 29
1.354, 69.44, 12
1.213, 78.93, 14
1.145, 84.67, 14

Cell and atoms:
```
data_TbDy5Tl3
_chemical_formula_sum 'Tb2 Dy10 Tl6'
_cell_length_a 9.378
_cell_length_b 9.378
_cell_length_c 6.725
_cell_angle_alpha 90.00
_cell_angle_beta 90.00
_cell_angle_gamma 120.00
_symmetry_space_group_name_H-M 'P 1'
_symmetry_Int_Tables_number 1
loop_
_symmetry_equiv_pos_as_xyz
'x,y,z'
loop_
_atom_site_label
_atom_site_type_symbol
_atom_site_fract_x
_atom_site_fract_y
_atom_site_fract_z
_atom_site_occupancy
Tb1 Tb 0.000 0.000 0.000 1
Tb2 Tb 0.000 0.000 0.500 1
Dy1 Dy 0.000 0.333 0.250 1
Dy2 Dy 0.000 0.667 0.750 1
Dy3 Dy 0.333 0.000 0.250 1
Dy4 Dy 0.333 0.333 0.750 1
Dy5 Dy 0.333 0.667 0.000 1
Dy6 Dy 0.333 0.667 0.500 1
Dy7 Dy 0.667 0.000 0.750 1
Dy8 Dy 0.667 0.333 0.000 1
Dy9 Dy 0.667 0.333 0.500 1
Dy10 Dy 0.667 0.667 0.250 1
Tl1 Tl 0.000 0.334 0.750 1
Tl2 Tl 0.000 0.666 0.250 1
Tl3 Tl 0.334 0.000 0.750 1
Tl4 Tl 0.334 0.334 0.250 1
Tl5 Tl 0.666 0.000 0.250 1
Tl6 Tl 0.666 0.666 0.750 1
```

***

# 3
The following is a theoretical powder diffraction line list of Tb3Dy6Tl. It was derived from DFT lattice parameters and positions (PBE), using Cu Kα (weighted mean of Kα1 and Kα2).
Kinematic intensities with the Lorentz-polarization factor, no thermal factor.

Peak list (12 most intense, 10° ≤ 2θ ≤ 90°, by angle)
d (Å), Position (°2θ), I (rel.)
3.140, 28.42, 15
3.086, 28.94, 67
2.909, 30.73, 29
2.798, 31.99, 100
2.669, 33.58, 15
2.623, 34.19, 29
2.568, 34.94, 35
2.488, 36.10, 15
2.409, 37.32, 12
1.712, 53.53, 18
1.541, 60.04, 14
1.526, 60.67, 12

Cell and atoms:
```
data_Tb3Dy6Tl
_chemical_formula_sum 'Tb6 Dy12 Tl2'
_cell_length_a 10.893
_cell_length_b 10.893
_cell_length_c 6.117
_cell_angle_alpha 90.00
_cell_angle_beta 90.00
_cell_angle_gamma 119.75
_symmetry_space_group_name_H-M 'P 1'
_symmetry_Int_Tables_number 1
loop_
_symmetry_equiv_pos_as_xyz
'x,y,z'
loop_
_atom_site_label
_atom_site_type_symbol
_atom_site_fract_x
_atom_site_fract_y
_atom_site_fract_z
_atom_site_occupancy
Tb1 Tb 0.108 0.892 0.500 1
Tb2 Tb 0.232 0.442 0.087 1
Tb3 Tb 0.442 0.232 0.587 1
Tb4 Tb 0.558 0.768 0.087 1
Tb5 Tb 0.768 0.558 0.587 1
Tb6 Tb 0.892 0.108 0.000 1
Dy1 Dy 0.014 0.444 0.715 1
Dy2 Dy 0.111 0.213 0.523 1
Dy3 Dy 0.213 0.111 0.023 1
Dy4 Dy 0.232 0.768 0.882 1
Dy5 Dy 0.444 0.014 0.215 1
Dy6 Dy 0.444 0.556 0.610 1
Dy7 Dy 0.556 0.444 0.110 1
Dy8 Dy 0.556 0.986 0.715 1
Dy9 Dy 0.768 0.232 0.382 1
Dy10 Dy 0.787 0.889 0.523 1
Dy11 Dy 0.889 0.787 0.023 1
Dy12 Dy 0.986 0.556 0.215 1
Tl1 Tl 0.289 0.711 0.410 1
Tl2 Tl 0.711 0.289 0.910 1
```

***

# 4
The following is a theoretical powder diffraction line list of Tb2Dy3Tl6. It was derived from DFT lattice parameters and positions (PBE), using Cu Kα (weighted mean of Kα1 and Kα2).
Kinematic intensities with the Lorentz-polarization factor, no thermal factor.

Peak list (12 most intense, 10° ≤ 2θ ≤ 90°, by angle)
d (Å), Position (°2θ), I (rel.)
7.443, 11.89, 17
3.161, 28.23, 11
3.048, 29.30, 95
2.710, 33.06, 14
2.485, 36.14, 100
2.362, 38.09, 64
1.711, 53.56, 21
1.670, 54.97, 22
1.465, 63.51, 22
1.462, 63.66, 14
1.386, 67.57, 38
1.360, 69.07, 19

Cell and atoms:
```
data_Tb2Dy3Tl6
_chemical_formula_sum 'Tb2 Dy3 Tl6'
_cell_length_a 15.257
_cell_length_b 15.257
_cell_length_c 15.257
_cell_angle_alpha 162.18
_cell_angle_beta 162.18
_cell_angle_gamma 25.30
_symmetry_space_group_name_H-M 'P 1'
_symmetry_Int_Tables_number 1
loop_
_symmetry_equiv_pos_as_xyz
'x,y,z'
loop_
_atom_site_label
_atom_site_type_symbol
_atom_site_fract_x
_atom_site_fract_y
_atom_site_fract_z
_atom_site_occupancy
Tb1 Tb 0.053 0.053 0.000 1
Tb2 Tb 0.947 0.947 0.000 1
Dy1 Dy 0.299 0.299 0.000 1
Dy2 Dy 0.500 0.500 0.000 1
Dy3 Dy 0.701 0.701 0.000 1
Tl1 Tl 0.120 0.620 0.500 1
Tl2 Tl 0.196 0.196 0.000 1
Tl3 Tl 0.380 0.880 0.500 1
Tl4 Tl 0.620 0.120 0.500 1
Tl5 Tl 0.804 0.804 0.000 1
Tl6 Tl 0.880 0.380 0.500 1
```

***

# 5
The following is a theoretical powder diffraction line list of Tb9Dy2Tl. It was derived from DFT lattice parameters and positions (PBE), using Cu Kα (weighted mean of Kα1 and Kα2).
Kinematic intensities with the Lorentz-polarization factor, no thermal factor.

Peak list (12 most intense, 10° ≤ 2θ ≤ 90°, by angle)
d (Å), Position (°2θ), I (rel.)
2.877, 31.08, 100
2.527, 35.52, 17
2.475, 36.30, 33
1.768, 51.70, 24
1.750, 52.28, 12
1.518, 61.04, 14
1.495, 62.08, 28
1.439, 64.80, 12
1.147, 84.49, 12
1.137, 85.40, 6
1.111, 87.85, 6
1.107, 88.30, 6

Cell and atoms:
```
data_Tb9Dy2Tl
_chemical_formula_sum 'Tb9 Dy2 Tl1'
_cell_length_a 4.950
_cell_length_b 4.950
_cell_length_c 15.164
_cell_angle_alpha 90.00
_cell_angle_beta 90.00
_cell_angle_gamma 90.00
_symmetry_space_group_name_H-M 'P 1'
_symmetry_Int_Tables_number 1
loop_
_symmetry_equiv_pos_as_xyz
'x,y,z'
loop_
_atom_site_label
_atom_site_type_symbol
_atom_site_fract_x
_atom_site_fract_y
_atom_site_fract_z
_atom_site_occupancy
Tb1 Tb 0.000 0.000 0.000 1
Tb2 Tb 0.000 0.000 0.329 1
Tb3 Tb 0.000 0.000 0.671 1
Tb4 Tb 0.000 0.500 0.163 1
Tb5 Tb 0.000 0.500 0.500 1
Tb6 Tb 0.000 0.500 0.837 1
Tb7 Tb 0.500 0.000 0.163 1
Tb8 Tb 0.500 0.000 0.500 1
Tb9 Tb 0.500 0.000 0.837 1
Dy1 Dy 0.500 0.500 0.333 1
Dy2 Dy 0.500 0.500 0.667 1
Tl1 Tl 0.500 0.500 0.000 1
```

***

# 6
The following is a theoretical powder diffraction line list of Tb5Dy12Tl2. It was derived from DFT lattice parameters and positions (PBE), using Cu Kα (weighted mean of Kα1 and Kα2).
Kinematic intensities with the Lorentz-polarization factor, no thermal factor.

Peak list (12 most intense, 10° ≤ 2θ ≤ 90°, by angle)
d (Å), Position (°2θ), I (rel.)
3.003, 29.75, 25
2.902, 30.81, 62
2.868, 31.19, 28
2.855, 31.33, 38
2.780, 32.20, 75
2.770, 32.32, 100
2.630, 34.09, 54
2.518, 35.65, 45
2.466, 36.43, 30
1.622, 56.75, 26
1.571, 58.77, 30
1.543, 59.96, 35

Cell and atoms:
```
data_Tb5Dy12Tl2
_chemical_formula_sum 'Tb5 Dy12 Tl2'
_cell_length_a 8.987
_cell_length_b 8.987
_cell_length_c 8.310
_cell_angle_alpha 91.67
_cell_angle_beta 91.67
_cell_angle_gamma 62.54
_symmetry_space_group_name_H-M 'P 1'
_symmetry_Int_Tables_number 1
loop_
_symmetry_equiv_pos_as_xyz
'x,y,z'
loop_
_atom_site_label
_atom_site_type_symbol
_atom_site_fract_x
_atom_site_fract_y
_atom_site_fract_z
_atom_site_occupancy
Tb1 Tb 0.000 0.000 0.000 1
Tb2 Tb 0.234 0.234 0.082 1
Tb3 Tb 0.312 0.312 0.496 1
Tb4 Tb 0.688 0.688 0.504 1
Tb5 Tb 0.766 0.766 0.918 1
Dy1 Dy 0.035 0.665 0.264 1
Dy2 Dy 0.085 0.085 0.384 1
Dy3 Dy 0.180 0.570 0.843 1
Dy4 Dy 0.335 0.965 0.736 1
Dy5 Dy 0.430 0.820 0.157 1
Dy6 Dy 0.447 0.447 0.179 1
Dy7 Dy 0.553 0.553 0.821 1
Dy8 Dy 0.570 0.180 0.843 1
Dy9 Dy 0.665 0.035 0.264 1
Dy10 Dy 0.820 0.430 0.157 1
Dy11 Dy 0.915 0.915 0.616 1
Dy12 Dy 0.965 0.335 0.736 1
Tl1 Tl 0.313 0.687 0.500 1
Tl2 Tl 0.687 0.313 0.500 1
```

***

# 7
The following is a theoretical powder diffraction line list of Tb3Dy8Tl. It was derived from DFT lattice parameters and positions (PBE), using Cu Kα (weighted mean of Kα1 and Kα2).
Kinematic intensities with the Lorentz-polarization factor, no thermal factor.

Peak list (12 most intense, 10° ≤ 2θ ≤ 90°, by angle)
d (Å), Position (°2θ), I (rel.)
6.083, 14.56, 29
4.139, 21.47, 28
3.642, 24.44, 58
3.422, 26.04, 38
3.041, 29.37, 75
2.824, 31.68, 63
2.691, 33.29, 28
2.678, 33.46, 27
2.451, 36.67, 100
2.070, 43.74, 46
2.010, 45.11, 46
1.548, 59.73, 29

Cell and atoms:
```
data_Tb3Dy8Tl
_chemical_formula_sum 'Tb3 Dy8 Tl1'
_cell_length_a 8.301
_cell_length_b 8.301
_cell_length_c 8.301
_cell_angle_alpha 117.58
_cell_angle_beta 117.58
_cell_angle_gamma 94.25
_symmetry_space_group_name_H-M 'P 1'
_symmetry_Int_Tables_number 1
loop_
_symmetry_equiv_pos_as_xyz
'x,y,z'
loop_
_atom_site_label
_atom_site_type_symbol
_atom_site_fract_x
_atom_site_fract_y
_atom_site_fract_z
_atom_site_occupancy
Tb1 Tb 0.000 0.000 0.000 1
Tb2 Tb 0.250 0.750 0.500 1
Tb3 Tb 0.750 0.250 0.500 1
Dy1 Dy 0.116 0.370 0.000 1
Dy2 Dy 0.226 0.734 0.000 1
Dy3 Dy 0.266 0.266 0.492 1
Dy4 Dy 0.370 0.116 0.000 1
Dy5 Dy 0.630 0.630 0.746 1
Dy6 Dy 0.734 0.226 0.000 1
Dy7 Dy 0.774 0.774 0.508 1
Dy8 Dy 0.884 0.884 0.254 1
Tl1 Tl 0.500 0.500 0.000 1
```

***

# 8
The following is a theoretical powder diffraction line list of Tb2DyTmTl2. It was derived from DFT lattice parameters and positions (PBE), using Cu Kα (weighted mean of Kα1 and Kα2).
Kinematic intensities with the Lorentz-polarization factor, no thermal factor.

Peak list (12 most intense, 10° ≤ 2θ ≤ 90°, by angle)
d (Å), Position (°2θ), I (rel.)
2.983, 29.95, 20
2.833, 31.58, 60
2.814, 31.80, 22
2.778, 32.22, 100
2.725, 32.87, 84
2.573, 34.87, 37
2.542, 35.31, 60
2.378, 37.83, 25
1.737, 52.71, 20
1.537, 60.20, 24
1.509, 61.44, 17
1.361, 69.00, 15

Cell and atoms:
```
data_Tb2DyTmTl2
_chemical_formula_sum 'Tb4 Dy2 Tm2 Tl4'
_cell_length_a 5.084
_cell_length_b 9.950
_cell_length_c 6.824
_cell_angle_alpha 90.00
_cell_angle_beta 90.00
_cell_angle_gamma 90.00
_symmetry_space_group_name_H-M 'P 1'
_symmetry_Int_Tables_number 1
loop_
_symmetry_equiv_pos_as_xyz
'x,y,z'
loop_
_atom_site_label
_atom_site_type_symbol
_atom_site_fract_x
_atom_site_fract_y
_atom_site_fract_z
_atom_site_occupancy
Tb1 Tb 0.000 0.044 0.000 1
Tb2 Tb 0.000 0.956 0.500 1
Tb3 Tb 0.500 0.187 0.282 1
Tb4 Tb 0.500 0.813 0.782 1
Dy1 Dy 0.500 0.457 0.908 1
Dy2 Dy 0.500 0.543 0.408 1
Tm1 Tm 0.000 0.312 0.625 1
Tm2 Tm 0.000 0.688 0.125 1
Tl1 Tl 0.000 0.370 0.166 1
Tl2 Tl 0.000 0.630 0.666 1
Tl3 Tl 0.500 0.137 0.746 1
Tl4 Tl 0.500 0.863 0.246 1
```